[1]
This entry pairs a crystal structure of Li8In2Au with its computed PXRD pattern. Radiation: CuKα. Structure: DFT lattice parameters and positions (PBE).
Kinematic intensities with the Lorentz-polarization factor, no thermal factor.

Principal peaks in the range 15 to 90 degrees two-theta, low angle first:
| Position (°2θ) | intensity |
| --- | --- |
| 23.24 | 100 |
| 25.37 | 42 |
| 30.49 | 34 |
| 39.49 | 40 |
| 39.62 | 39 |
| 48.02 | 32 |

Structural model:
```
11
Lattice="3.956 -2.280 0.000 3.956 2.280 0.000 -2.633 0.000 10.198" Properties=species:S:1:pos:R:3 pbc="T T T"
Li 0.002 0.000 2.618
Li 0.002 0.000 5.378
Li 0.003 0.000 8.225
Li 2.638 0.000 0.803
Li 2.641 0.000 9.396
Li 5.275 0.000 1.974
Li 5.276 0.000 4.821
Li 5.277 0.000 7.580
In 2.639 0.000 3.631
In 2.640 0.000 6.567
Au 0.000 0.000 0.000
```

***

[2]
This entry pairs a crystal structure of Li4MgInAu2 with its computed PXRD pattern. Radiation: CuKα. Structure: DFT lattice parameters and positions (PBE).
Kinematic intensities with the Lorentz-polarization factor, no thermal factor.

Principal peaks in the range 15 to 90 degrees two-theta, low angle first:
| Position (°2θ) | intensity |
| --- | --- |
| 23.88 | 100 |
| 39.41 | 26 |
| 39.53 | 51 |
| 46.61 | 35 |
| 46.82 | 17 |
| 71.55 | 18 |

Structural model:
```
8
Lattice="4.573 0.000 0.000 0.000 4.573 0.000 0.000 0.000 6.429" Properties=species:S:1:pos:R:3 pbc="T T T"
Li 0.000 0.000 0.000
Li 0.000 2.286 4.806
Li 2.286 0.000 1.622
Li 2.286 2.286 3.214
Mg 0.000 0.000 3.214
In 2.286 2.286 0.000
Au 0.000 2.286 1.673
Au 2.286 0.000 4.755
```

***

[3]
This entry pairs a crystal structure of Li2InPbAu2 with its computed PXRD pattern. Radiation: CuKα. Structure: DFT lattice parameters and positions (PBE).
Kinematic intensities with the Lorentz-polarization factor, no thermal factor.

Principal peaks in the range 15 to 90 degrees two-theta, low angle first:
| Position (°2θ) | intensity |
| --- | --- |
| 21.22 | 97 |
| 29.30 | 59 |
| 36.46 | 57 |
| 37.20 | 100 |
| 48.04 | 92 |
| 73.46 | 28 |

Structural model:
```
6
Lattice="4.834 0.000 0.000 -2.417 4.186 0.000 0.000 0.000 6.096" Properties=species:S:1:pos:R:3 pbc="T T T"
Li 0.000 0.000 1.482
Li 0.000 0.000 4.614
In 0.000 2.791 0.000
Pb 2.417 1.395 3.048
Au 0.000 2.791 3.048
Au 2.417 1.395 0.000
```

***

[4]
This entry pairs a crystal structure of Li2Sc2In2PdAu with its computed PXRD pattern. Radiation: CuKα. Structure: DFT lattice parameters and positions (PBE).
Kinematic intensities with the Lorentz-polarization factor, no thermal factor.

Principal peaks in the range 15 to 90 degrees two-theta, low angle first:
| Position (°2θ) | intensity |
| --- | --- |
| 23.33 | 64 |
| 38.55 | 100 |
| 45.55 | 33 |
| 55.71 | 11 |
| 61.16 | 14 |
| 69.75 | 33 |

Structural model:
```
8
Lattice="4.666 0.000 0.000 0.000 4.666 0.000 0.000 0.000 6.616" Properties=species:S:1:pos:R:3 pbc="T T T"
Li 0.000 0.000 0.000
Li 2.333 2.333 3.308
Sc 0.000 2.333 4.928
Sc 2.333 0.000 1.688
In 0.000 2.333 1.697
In 2.333 0.000 4.919
Pd 0.000 0.000 3.308
Au 2.333 2.333 0.000
```

***

[5]
This entry pairs a crystal structure of LiScInAu with its computed PXRD pattern. Radiation: CuKα. Structure: DFT lattice parameters and positions (PBE).
Kinematic intensities with the Lorentz-polarization factor, no thermal factor.

Principal peaks in the range 15 to 90 degrees two-theta, low angle first:
| Position (°2θ) | intensity |
| --- | --- |
| 23.21 | 76 |
| 38.35 | 100 |
| 45.31 | 40 |
| 55.32 | 11 |
| 60.82 | 17 |
| 69.35 | 34 |

Structural model:
```
8
Lattice="4.697 0.000 0.000 0.000 4.697 0.000 0.000 0.000 6.630" Properties=species:S:1:pos:R:3 pbc="T T T"
Li 0.000 2.348 1.631
Li 2.348 0.000 4.999
Sc 0.000 0.000 3.315
Sc 2.348 2.348 0.000
In 0.000 0.000 0.000
In 2.348 2.348 3.315
Au 0.000 2.348 4.964
Au 2.348 0.000 1.666
```

***

[6]
This entry pairs a crystal structure of Li4ZnInAu2 with its computed PXRD pattern. Radiation: CuKα. Structure: DFT lattice parameters and positions (PBE).
Kinematic intensities with the Lorentz-polarization factor, no thermal factor.

Principal peaks in the range 15 to 90 degrees two-theta, low angle first:
| Position (°2θ) | intensity |
| --- | --- |
| 24.25 | 100 |
| 40.04 | 54 |
| 40.29 | 28 |
| 47.15 | 16 |
| 47.58 | 34 |
| 73.08 | 18 |

Structural model:
```
8
Lattice="4.477 0.000 0.000 0.000 4.477 0.000 0.000 0.000 6.406" Properties=species:S:1:pos:R:3 pbc="T T T"
Li 0.000 0.000 0.000
Li 0.000 2.238 4.632
Li 2.238 0.000 1.774
Li 2.238 2.238 3.203
Zn 0.000 0.000 3.203
In 2.238 2.238 0.000
Au 0.000 2.238 1.718
Au 2.238 0.000 4.689
```